[1]
Computed powder diffractogram
Compound: K2Pu2O5
Radiation: CuKα
Structure: a PBE-relaxed structure
No peak broadening, texture or thermal motion is included.

Atomic structure:
Cell: 4.298 4.298 8.660 Å, 90.00 90.00 90.00°
Space group P4/mmm (No. 123)
Inequivalent atoms, fractional coordinates:
K (0.000, 0.000, 0.000) x1
K (0.000, 0.000, 0.500) x1
Pu (0.500, 0.500, 0.248) x2
O (0.000, 0.500, 0.281) x4
O (0.500, 0.500, 0.000) x1

Largest 10 diffraction maxima, low angle first, 2θ = 10–90°:
d = 4.330 Å, I 38, hkl 0 0 2; d = 4.298 Å, I 65, hkl 1 0 0; d = 3.050 Å, I 100, hkl 1 0 2; d = 3.039 Å, I 43, hkl 1 1 0; d = 2.487 Å, I 20, hkl 1 1 2; d = 2.149 Å, I 26, hkl 2 0 0; d = 1.924 Å, I 34, hkl 2 0 2; d = 1.763 Å, I 20, hkl 1 1 4; d = 1.757 Å, I 41, hkl 2 1 2; d = 1.360 Å, I 17, hkl 3 0 2

[2]
Computed powder diffractogram
Compound: K2PuO4
Radiation: CuKα
Structure: a PBE-relaxed structure
No peak broadening, texture or thermal motion is included.

Atomic structure:
Cell: 4.339 4.339 13.358 Å, 90.00 90.00 90.00°
Space group I4/mmm (No. 139)
Inequivalent atoms, fractional coordinates:
K (0.000, 0.000, 0.148) x4
Pu (0.000, 0.000, 0.500) x2
O (0.000, 0.000, 0.356) x4
O (0.000, 0.500, 0.000) x4

Largest 10 diffraction maxima, low angle first, 2θ = 10–90°:
d = 6.679 Å, I 100, hkl 0 0 2; d = 4.127 Å, I 100, hkl 1 0 1; d = 3.108 Å, I 93, hkl 1 0 3; d = 3.068 Å, I 58, hkl 1 1 0; d = 2.788 Å, I 25, hkl 1 1 2; d = 2.275 Å, I 28, hkl 1 0 5; d = 2.170 Å, I 31, hkl 2 0 0; d = 2.063 Å, I 21, hkl 2 0 2; d = 1.920 Å, I 27, hkl 2 1 1; d = 1.779 Å, I 38, hkl 2 1 3

[3]
Computed powder diffractogram
Compound: KRbO
Radiation: CuKα
Structure: a PBE-relaxed structure
No peak broadening, texture or thermal motion is included.

Atomic structure:
Cell: 11.963 11.963 5.750 Å, 90.00 90.00 90.00°
Space group I4/mmm (No. 139)
Inequivalent atoms, fractional coordinates:
K (0.165, 0.165, 0.000) x8
Rb (0.000, 0.354, 0.500) x8
O (0.000, 0.300, 0.000) x8

Largest 10 diffraction maxima, low angle first, 2θ = 10–90°:
d = 8.459 Å, I 85, hkl 1 1 0; d = 3.277 Å, I 100, hkl 3 0 1; d = 2.875 Å, I 32, hkl 0 0 2; d = 2.820 Å, I 51, hkl 3 3 0; d = 2.590 Å, I 26, hkl 4 1 1; d = 2.013 Å, I 36, hkl 3 3 2; d = 1.994 Å, I 15, hkl 6 0 0; d = 1.728 Å, I 15, hkl 3 0 3; d = 1.703 Å, I 29, hkl 6 3 1; d = 1.638 Å, I 17, hkl 6 0 2